(1)
Diffraction record for Li2SiNi. The X-ray powder pattern is computed, not measured: it uses a GGA-PBE-relaxed structure and Cu Kα, 1.54184 Å.

Largest 10 diffraction maxima, in order of rising 2θ, 2θ from 15° to 90°:
d_spacing	2θ (°)	I (rel.)	(hkl)
4.277	20.77	100	0 0 1
3.917	22.70	16	2 0 0
3.501	25.45	19	2 0 -1
2.658	33.72	31	1 1 0
2.376	37.86	18	1 1 -1
2.155	41.93	36	1 1 1
2.138	42.27	17	0 0 2
1.959	46.36	17	4 0 0
1.927	47.16	30	3 1 -1
1.918	47.41	17	3 1 0

Structure:
Cell lengths 8.2699, 2.8254, 4.5144 Å; angles 90.00, 108.68, 90.00 degrees
Space group Cm (No. 8)
One atom of each set of equivalent atoms:
1 Li 0.0000 0.0000 0.0000 (multiplicity 2)
2 Li 0.2371 0.0000 0.8319 (multiplicity 2)
3 Si 0.4758 0.0000 0.4564 (multiplicity 2)
4 Ni 0.2472 0.5000 0.3729 (multiplicity 2)

=====

(2)
Diffraction record for LiTmSi2Ni. The X-ray powder pattern is computed, not measured: it uses a GGA-PBE-relaxed structure and Cu Kα, 1.54184 Å.

Largest 10 diffraction maxima, in order of rising 2θ, 2θ from 15° to 90°:
d_spacing	2θ (°)	I (rel.)	(hkl)
5.014	17.69	27	0 0 2
3.644	24.43	94	1 0 1
2.766	32.37	29	1 1 0
2.541	35.32	86	1 0 3
2.422	37.12	100	1 1 2
1.956	46.43	38	2 0 0
1.785	51.18	34	1 0 5
1.723	53.14	24	2 1 1
1.550	59.65	37	2 1 3
1.318	71.57	25	2 1 5

Structure:
Cell lengths 3.9118, 3.9118, 10.0283 Å; angles 90.00, 90.00, 90.00 degrees
Space group I-4m2 (No. 119)
One atom of each set of equivalent atoms:
1 Li 0.0000 0.0000 0.0000 (multiplicity 2)
2 Tm 0.0000 0.5000 0.2500 (multiplicity 2)
3 Si 0.0000 0.5000 0.6327 (multiplicity 4)
4 Ni 0.0000 0.0000 0.5000 (multiplicity 2)

=====

(3)
Diffraction record for Li2SmNi9. The X-ray powder pattern is computed, not measured: it uses a GGA-PBE-relaxed structure and Cu Kα, 1.54184 Å.

Largest 10 diffraction maxima, in order of rising 2θ, 2θ from 15° to 90°:
d_spacing	2θ (°)	I (rel.)	(hkl)
5.725	15.48	24	1 1 0
4.741	18.72	27	0 0 1
3.652	24.38	48	1 1 1
3.621	24.58	26	2 1 0
2.451	36.67	47	2 2 1
2.253	40.02	100	3 1 1
2.046	44.28	56	2 0 2
1.983	45.75	51	2 1 2
1.964	46.23	61	4 1 0
1.811	50.40	26	4 2 0

Structure:
Cell lengths 8.0971, 8.0971, 4.7411 Å; angles 90.00, 90.00, 90.00 degrees
Space group P4/mbm (No. 127)
One atom of each set of equivalent atoms:
1 Li 0.1136 0.3864 0.0000 (multiplicity 4)
2 Sm 0.0000 0.0000 0.0000 (multiplicity 2)
3 Ni 0.0000 0.5000 0.5000 (multiplicity 2)
4 Ni 0.0628 0.2113 0.5000 (multiplicity 8)
5 Ni 0.1801 0.6801 0.2440 (multiplicity 8)